1.
For KCuF3, a PBE-relaxed structure gives the theoretical X-ray powder pattern in this record (Cu Kα (weighted mean of Kα1 and Kα2)).
No peak broadening, texture or thermal motion is included.

Structure:
Cell lengths 5.7550, 5.7550, 5.7550 Å; angles 119.84, 119.84, 90.28 degrees
Positions (direct):
1 K 0.2500 0.2500 0.0000
2 K 0.7500 0.7500 0.0000
3 Cu 0.0000 0.5000 0.5000
4 Cu 0.5000 0.0000 0.5000
5 F 0.2432 0.7432 0.9864
6 F 0.2500 0.7500 0.5000
7 F 0.2568 0.2432 0.5000
8 F 0.7432 0.7568 0.5000
9 F 0.7500 0.2500 0.5000
10 F 0.7568 0.2568 0.0136

Main lines, in order of falling intensity (10 to 90 degrees two-theta):
- 31.05 deg, intensity 100
- 44.42 deg, intensity 40
- 55.20 deg, intensity 24
- 21.79 deg, intensity 23
- 64.80 deg, intensity 22
- 44.65 deg, intensity 20
- 55.35 deg, intensity 12
- 21.90 deg, intensity 11
- 64.62 deg, intensity 11
- 81.95 deg, intensity 10

---

2.
For Dy3Mg2MoS8, a PBE-relaxed structure gives the theoretical X-ray powder pattern in this record (Cu Kα (weighted mean of Kα1 and Kα2)).
No peak broadening, texture or thermal motion is included.

Structure:
Cell lengths 7.7104, 7.7104, 7.7104 Å; angles 61.14, 61.14, 61.14 degrees
Positions (direct):
1 Dy 0.0000 0.5000 0.5000
2 Dy 0.5000 0.0000 0.5000
3 Dy 0.5000 0.5000 0.0000
4 Mg 0.1255 0.1255 0.1255
5 Mg 0.8745 0.8745 0.8745
6 Mo 0.5000 0.5000 0.5000
7 S 0.2550 0.2550 0.2550
8 S 0.2661 0.2661 0.7321
9 S 0.2661 0.7321 0.2661
10 S 0.2679 0.7339 0.7339
11 S 0.7321 0.2661 0.2661
12 S 0.7339 0.2679 0.7339
13 S 0.7339 0.7339 0.2679
14 S 0.7450 0.7450 0.7450

Main lines, in order of falling intensity (10 to 90 degrees two-theta):
- 32.57 deg, intensity 100
- 13.87 deg, intensity 76
- 26.68 deg, intensity 48
- 46.30 deg, intensity 46
- 47.16 deg, intensity 43
- 26.85 deg, intensity 43
- 14.19 deg, intensity 42
- 27.95 deg, intensity 23
- 27.20 deg, intensity 23
- 42.70 deg, intensity 18

---

3.
For Al10V, a PBE-relaxed structure gives the theoretical X-ray powder pattern in this record (Cu Kα (weighted mean of Kα1 and Kα2)).
No peak broadening, texture or thermal motion is included.

Structure:
Cell lengths 10.2198, 10.2198, 10.2198 Å; angles 60.00, 60.00, 60.00 degrees
Positions (direct):
1 Al 0.0000 0.0000 0.0000
2 Al 0.0000 0.0000 0.5000
3 Al 0.0000 0.5000 0.0000
4 Al 0.0574 0.3226 0.3226
5 Al 0.0574 0.3226 0.7974
6 Al 0.0574 0.7974 0.3226
7 Al 0.2026 0.6774 0.6774
8 Al 0.2026 0.6774 0.9426
9 Al 0.2026 0.9426 0.6774
10 Al 0.2348 0.2348 0.5152
11 Al 0.2348 0.5152 0.2348
12 Al 0.2348 0.5152 0.5152
13 Al 0.3226 0.0574 0.3226
14 Al 0.3226 0.0574 0.7974
15 Al 0.3226 0.3226 0.0574
16 Al 0.3226 0.3226 0.7974
17 Al 0.3226 0.7974 0.0574
18 Al 0.3226 0.7974 0.3226
19 Al 0.4848 0.4848 0.7652
20 Al 0.4848 0.7652 0.4848
21 Al 0.4848 0.7652 0.7652
22 Al 0.5000 0.0000 0.0000
23 Al 0.5152 0.2348 0.2348
24 Al 0.5152 0.2348 0.5152
25 Al 0.5152 0.5152 0.2348
26 Al 0.6774 0.2026 0.6774
27 Al 0.6774 0.2026 0.9426
28 Al 0.6774 0.6774 0.2026
29 Al 0.6774 0.6774 0.9426
30 Al 0.6774 0.9426 0.2026
31 Al 0.6774 0.9426 0.6774
32 Al 0.7652 0.4848 0.4848
33 Al 0.7652 0.4848 0.7652
34 Al 0.7652 0.7652 0.4848
35 Al 0.7974 0.0574 0.3226
36 Al 0.7974 0.3226 0.0574
37 Al 0.7974 0.3226 0.3226
38 Al 0.9426 0.2026 0.6774
39 Al 0.9426 0.6774 0.2026
40 Al 0.9426 0.6774 0.6774
41 V 0.0000 0.5000 0.5000
42 V 0.5000 0.0000 0.5000
43 V 0.5000 0.5000 0.0000
44 V 0.5000 0.5000 0.5000

Main lines, in order of falling intensity (10 to 90 degrees two-theta):
- 41.44 deg, intensity 100
- 10.60 deg, intensity 69
- 40.95 deg, intensity 61
- 44.78 deg, intensity 55
- 74.24 deg, intensity 40
- 43.38 deg, intensity 37
- 36.79 deg, intensity 30
- 67.33 deg, intensity 26
- 39.43 deg, intensity 20
- 77.93 deg, intensity 16

---

4.
For SnC2S2N2, a PBE-relaxed structure gives the theoretical X-ray powder pattern in this record (Cu Kα (weighted mean of Kα1 and Kα2)).
No peak broadening, texture or thermal motion is included.

Structure:
Cell lengths 5.0153, 5.7403, 10.4071 Å; angles 100.51, 96.65, 93.01 degrees
Positions (direct):
1 Sn 0.1718 0.1878 0.2439
2 Sn 0.8282 0.8122 0.7561
3 C 0.1857 0.3989 0.8714
4 C 0.2030 0.7481 0.4997
5 C 0.7970 0.2519 0.5003
6 C 0.8143 0.6011 0.1286
7 S 0.2642 0.1427 0.9040
8 S 0.3756 0.7153 0.3763
9 S 0.6244 0.2847 0.6237
10 S 0.7358 0.8573 0.0960
11 N 0.0843 0.7750 0.5926
12 N 0.1379 0.5879 0.8485
13 N 0.8621 0.4121 0.1515
14 N 0.9157 0.2250 0.4074

Main lines, in order of falling intensity (10 to 90 degrees two-theta):
- 28.07 deg, intensity 100
- 16.50 deg, intensity 48
- 17.48 deg, intensity 46
- 30.00 deg, intensity 44
- 28.56 deg, intensity 39
- 18.86 deg, intensity 39
- 23.41 deg, intensity 38
- 22.97 deg, intensity 27
- 33.40 deg, intensity 26
- 31.80 deg, intensity 24

---

5.
For TaPRh, a PBE-relaxed structure gives the theoretical X-ray powder pattern in this record (Cu Kα (weighted mean of Kα1 and Kα2)).
No peak broadening, texture or thermal motion is included.

Structure:
Cell lengths 6.3115, 3.7819, 7.2128 Å; angles 90.00, 90.00, 90.00 degrees
Positions (direct):
1 Ta 0.0306 0.2500 0.1667
2 Ta 0.4694 0.7500 0.6667
3 Ta 0.5306 0.2500 0.3333
4 Ta 0.9694 0.7500 0.8333
5 P 0.2378 0.7500 0.3744
6 P 0.2622 0.2500 0.8744
7 P 0.7378 0.7500 0.1256
8 P 0.7622 0.2500 0.6256
9 Rh 0.1482 0.2500 0.5644
10 Rh 0.3518 0.7500 0.0644
11 Rh 0.6482 0.2500 0.9356
12 Rh 0.8518 0.7500 0.4356

Main lines, in order of falling intensity (10 to 90 degrees two-theta):
- 37.28 deg, intensity 100
- 39.22 deg, intensity 68
- 40.13 deg, intensity 39
- 37.10 deg, intensity 34
- 48.12 deg, intensity 30
- 64.41 deg, intensity 24
- 26.61 deg, intensity 24
- 44.88 deg, intensity 22
- 73.57 deg, intensity 18
- 28.28 deg, intensity 14

---

6.
For U2Al3Sn3, a PBE-relaxed structure gives the theoretical X-ray powder pattern in this record (Cu Kα (weighted mean of Kα1 and Kα2)).
No peak broadening, texture or thermal motion is included.

Structure:
Cell lengths 4.4279, 4.4718, 8.9282 Å; angles 90.00, 90.00, 90.00 degrees
Positions (direct):
1 U 0.0000 0.0000 0.2471
2 U 0.0000 0.0000 0.7529
3 Al 0.5000 0.0000 0.0000
4 Al 0.5000 0.5000 0.2361
5 Al 0.5000 0.5000 0.7639
6 Sn 0.0000 0.5000 0.0000
7 Sn 0.0000 0.5000 0.5000
8 Sn 0.5000 0.0000 0.5000

Main lines, in order of falling intensity (10 to 90 degrees two-theta):
- 34.89 deg, intensity 100
- 40.37 deg, intensity 34
- 20.05 deg, intensity 29
- 69.88 deg, intensity 28
- 28.25 deg, intensity 26
- 58.71 deg, intensity 23
- 40.76 deg, intensity 16
- 70.41 deg, intensity 14
- 19.86 deg, intensity 13
- 73.67 deg, intensity 12

---

7.
For Rb2InAsF6, a PBE-relaxed structure gives the theoretical X-ray powder pattern in this record (Cu Kα (weighted mean of Kα1 and Kα2)).
No peak broadening, texture or thermal motion is included.

Structure:
Cell lengths 6.6235, 6.6235, 6.6235 Å; angles 60.00, 60.00, 60.00 degrees
Positions (direct):
1 Rb 0.2500 0.2500 0.2500
2 Rb 0.7500 0.7500 0.7500
3 In 0.0000 0.0000 0.0000
4 As 0.5000 0.5000 0.5000
5 F 0.2781 0.2781 0.7219
6 F 0.2781 0.7219 0.2781
7 F 0.2781 0.7219 0.7219
8 F 0.7219 0.2781 0.2781
9 F 0.7219 0.2781 0.7219
10 F 0.7219 0.7219 0.2781

Main lines, in order of falling intensity (10 to 90 degrees two-theta):
- 26.92 deg, intensity 100
- 47.56 deg, intensity 40
- 38.44 deg, intensity 39
- 55.49 deg, intensity 24
- 76.03 deg, intensity 22
- 62.73 deg, intensity 20
- 88.59 deg, intensity 11
- 69.53 deg, intensity 8
- 18.95 deg, intensity 5
- 82.36 deg, intensity 3

---

8.
For NaNb3O8, a PBE-relaxed structure gives the theoretical X-ray powder pattern in this record (Cu Kα (weighted mean of Kα1 and Kα2)).
No peak broadening, texture or thermal motion is included.

Structure:
Cell lengths 3.8282, 8.9375, 10.3293 Å; angles 90.00, 90.00, 90.00 degrees
Positions (direct):
1 Na 0.2500 0.2500 0.0738
2 Na 0.7500 0.7500 0.9262
3 Nb 0.2500 0.0573 0.7543
4 Nb 0.2500 0.4427 0.7543
5 Nb 0.2500 0.7500 0.4836
6 Nb 0.7500 0.2500 0.5164
7 Nb 0.7500 0.5573 0.2457
8 Nb 0.7500 0.9427 0.2457
9 O 0.2500 0.2500 0.5762
10 O 0.2500 0.2500 0.8498
11 O 0.2500 0.5786 0.8800
12 O 0.2500 0.5900 0.2995
13 O 0.2500 0.5929 0.5975
14 O 0.2500 0.9071 0.5975
15 O 0.2500 0.9100 0.2995
16 O 0.2500 0.9214 0.8800
17 O 0.7500 0.0786 0.1200
18 O 0.7500 0.0900 0.7005
19 O 0.7500 0.0929 0.4025
20 O 0.7500 0.4071 0.4025
21 O 0.7500 0.4100 0.7005
22 O 0.7500 0.4214 0.1200
23 O 0.7500 0.7500 0.1502
24 O 0.7500 0.7500 0.4238

Main lines, in order of falling intensity (10 to 90 degrees two-theta):
- 26.37 deg, intensity 100
- 24.80 deg, intensity 70
- 13.10 deg, intensity 55
- 26.76 deg, intensity 42
- 52.65 deg, intensity 42
- 31.98 deg, intensity 39
- 30.75 deg, intensity 35
- 40.02 deg, intensity 33
- 47.50 deg, intensity 26
- 59.84 deg, intensity 25

---

9.
For PuAl3, a PBE-relaxed structure gives the theoretical X-ray powder pattern in this record (Cu Kα (weighted mean of Kα1 and Kα2)).
No peak broadening, texture or thermal motion is included.

Structure:
Cell lengths 5.9887, 5.9887, 14.4406 Å; angles 90.00, 90.00, 120.00 degrees
Positions (direct):
1 Pu 0.0000 0.0000 0.2500
2 Pu 0.0000 0.0000 0.7500
3 Pu 0.3333 0.6667 0.0853
4 Pu 0.3333 0.6667 0.4147
5 Pu 0.6667 0.3333 0.5853
6 Pu 0.6667 0.3333 0.9147
7 Al 0.0151 0.5075 0.7500
8 Al 0.1686 0.3372 0.5826
9 Al 0.1686 0.3372 0.9174
10 Al 0.1686 0.8314 0.5826
11 Al 0.1686 0.8314 0.9174
12 Al 0.3372 0.1686 0.0826
13 Al 0.3372 0.1686 0.4174
14 Al 0.4925 0.5075 0.7500
15 Al 0.4925 0.9849 0.7500
16 Al 0.5075 0.0151 0.2500
17 Al 0.5075 0.4925 0.2500
18 Al 0.6628 0.8314 0.5826
19 Al 0.6628 0.8314 0.9174
20 Al 0.8314 0.1686 0.0826
21 Al 0.8314 0.1686 0.4174
22 Al 0.8314 0.6628 0.0826
23 Al 0.8314 0.6628 0.4174
24 Al 0.9849 0.4925 0.2500

Main lines, in order of falling intensity (10 to 90 degrees two-theta):
- 21.09 deg, intensity 100
- 25.24 deg, intensity 92
- 29.84 deg, intensity 90
- 39.47 deg, intensity 67
- 36.83 deg, intensity 59
- 48.53 deg, intensity 49
- 18.17 deg, intensity 47
- 30.16 deg, intensity 47
- 42.94 deg, intensity 41
- 37.36 deg, intensity 39